[1]
Structure and simulated X-ray powder pattern of Ac4Hg5Rh2 (the PBE geometry in Alexandria; Cu Kα).
Kinematic intensities with the Lorentz-polarization factor, no thermal factor.

The 8 most intense peaks (5 to 70 degrees two-theta), low angle first:
2θ/deg  I/Imax  index
30.13  100  1 0 3
31.15  74  1 1 2
31.45  58  2 1 0
33.23  31  2 1 1
33.62  37  3 0 0
33.95  32  2 0 -3
35.12  32  0 1 3
44.77  36  0 2 0

Cell and atoms:
```
data_Ac4Hg5Rh2
_chemical_formula_sum 'Ac4 Hg5 Rh2'
_space_group_name_H-M_alt 'P 1 2/m 1'
_space_group_IT_number 10
_cell_length_a 8.0185
_cell_length_b 4.0487
_cell_length_c 9.9105
_cell_angle_alpha 90.00
_cell_angle_beta 94.24
_cell_angle_gamma 90.00
loop_
_space_group_symop_operation_xyz
'x,y,z'
'-x,-y,-z'
'-x,y,-z'
'x,-y,z'
loop_
_atom_site_label
_atom_site_fract_x
_atom_site_fract_y
_atom_site_fract_z
_atom_site_occupancy
Ac1 0.1854 0.0000 0.3476 1
Ac2 0.2240 0.0000 0.9350 1
Hg1 0.1677 0.5000 0.6438 1
Hg2 0.4499 0.5000 0.1717 1
Hg3 0.5000 0.5000 0.5000 1
Rh1 0.0752 0.5000 0.1406 1
```

---

[2]
Structure and simulated X-ray powder pattern of Mn6Co5Os (the PBE geometry in Alexandria; Cu Kα).
Kinematic intensities with the Lorentz-polarization factor, no thermal factor.

The 8 most intense peaks (5 to 70 degrees two-theta), low angle first:
2θ/deg  I/Imax  index
14.50  5  0 0 2
16.97  7  0 1 1
26.77  6  1 1 0
30.57  5  1 1 2
31.01  5  0 2 0
44.43  100  2 0 0
64.51  5  0 4 0
64.71  10  2 0 6

Cell and atoms:
```
data_Mn6Co5Os
_chemical_formula_sum 'Mn12 Co10 Os2'
_space_group_name_H-M_alt 'I m m m'
_space_group_IT_number 71
_space_group_name_Hall '-I 2 2'
_cell_length_a 4.0755
_cell_length_b 5.7781
_cell_length_c 12.2197
_cell_angle_alpha 90.00
_cell_angle_beta 90.00
_cell_angle_gamma 90.00
loop_
_atom_site_label
_atom_site_fract_x
_atom_site_fract_y
_atom_site_fract_z
_atom_site_occupancy
Mn1 0.0000 0.2409 0.0000 1
Mn2 0.0000 0.2541 0.3306 1
Co1 0.0000 0.0000 0.1677 1
Co2 0.0000 0.5000 0.1647 1
Co3 0.0000 0.5000 0.5000 1
Os1 0.0000 0.0000 0.5000 1
```

---

> Which formula does entry 1 have?

Ac4Hg5Rh2

---

Copy entry 2 word for word.
Structure and simulated X-ray powder pattern of Mn6Co5Os (the PBE geometry in Alexandria; Cu Kα).
Kinematic intensities with the Lorentz-polarization factor, no thermal factor.

The 8 most intense peaks (5 to 70 degrees two-theta), low angle first:
2θ/deg  I/Imax  index
14.50  5  0 0 2
16.97  7  0 1 1
26.77  6  1 1 0
30.57  5  1 1 2
31.01  5  0 2 0
44.43  100  2 0 0
64.51  5  0 4 0
64.71  10  2 0 6

Cell and atoms:
```
data_Mn6Co5Os
_chemical_formula_sum 'Mn12 Co10 Os2'
_space_group_name_H-M_alt 'I m m m'
_space_group_IT_number 71
_space_group_name_Hall '-I 2 2'
_cell_length_a 4.0755
_cell_length_b 5.7781
_cell_length_c 12.2197
_cell_angle_alpha 90.00
_cell_angle_beta 90.00
_cell_angle_gamma 90.00
loop_
_atom_site_label
_atom_site_fract_x
_atom_site_fract_y
_atom_site_fract_z
_atom_site_occupancy
Mn1 0.0000 0.2409 0.0000 1
Mn2 0.0000 0.2541 0.3306 1
Co1 0.0000 0.0000 0.1677 1
Co2 0.0000 0.5000 0.1647 1
Co3 0.0000 0.5000 0.5000 1
Os1 0.0000 0.0000 0.5000 1
```